Entry 1:
For Ba2UMnO6, a GGA+U-relaxed structure gives the theoretical PXRD pattern in this record (Cu Ka).
Intensities are scaled so that the largest is 100.

a b c (Å): 8.575 8.575 8.575
angles (deg): 90.00 90.00 90.00
Space group Fm-3m (No. 225)
Inequivalent atoms, fractional coordinates:
Ba: 0.250 0.250 0.250 (multiplicity 8)
U: 0.000 0.000 0.000 (multiplicity 4)
Mn: 0.000 0.000 0.500 (multiplicity 4)
O: 0.000 0.000 0.244 (multiplicity 24)

Main lines, in order of rising 2θ (10 to 80 degrees two-theta):
2theta	I_rel	h k l
17.9	24	1 1 1
29.5	100	2 2 0
34.7	14	3 1 1
42.2	30	4 0 0
46.1	6	3 3 1
52.3	41	4 2 2
61.1	19	4 4 0
64.3	6	5 3 1
69.3	18	6 2 0
77.0	6	4 4 4



Entry 2:
For BaYMn2O5, a GGA+U-relaxed structure gives the theoretical PXRD pattern in this record (Cu Ka).
Intensities are scaled so that the largest is 100.

a b c (Å): 5.616 5.616 7.801
angles (deg): 90.00 90.00 90.00
Space group P4/nmm (No. 129, origin choice 2)
Inequivalent atoms, fractional coordinates:
Ba: 0.250 0.750 0.000 (multiplicity 2)
Y: 0.250 0.750 0.500 (multiplicity 2)
Mn: 0.250 0.250 0.253 (multiplicity 2)
Mn: 0.250 0.250 0.723 (multiplicity 2)
O: 0.009 0.009 0.681 (multiplicity 8)
O: 0.250 0.250 0.992 (multiplicity 2)

Main lines, in order of rising 2θ (10 to 80 degrees two-theta):
2theta	I_rel	h k l
22.4	10	1 1 0
31.9	42	2 0 0
32.2	100	1 1 2
39.5	17	2 0 2
45.7	31	2 2 0
46.6	9	0 0 4
57.0	37	3 1 2
57.5	22	2 0 4
66.6	9	4 0 0
67.3	12	2 2 4



Entry 3:
For BaYMn4O7, a GGA+U-relaxed structure gives the theoretical PXRD pattern in this record (Cu Ka).
Intensities are scaled so that the largest is 100.

a b c (Å): 6.5500 6.5500 10.8428
angles (deg): 90.00 90.00 120.00
Space group P6_3mc (No. 186)
Inequivalent atoms, fractional coordinates:
Ba: 0.3333 0.6667 0.0000 (multiplicity 2)
Y: 0.3333 0.6667 0.4048 (multiplicity 2)
Mn: 0.0000 0.0000 0.4671 (multiplicity 2)
Mn: 0.1702 0.3404 0.7145 (multiplicity 6)
O: 0.0000 0.0000 0.2758 (multiplicity 2)
O: 0.0097 0.5048 0.7933 (multiplicity 6)
O: 0.1686 0.3372 0.5286 (multiplicity 6)

Main lines, in order of rising 2θ (10 to 80 degrees two-theta):
2theta	I_rel	h k l
27.2	40	1 1 0
29.3	54	1 0 3
31.9	100	1 1 2
32.6	63	2 0 1
33.0	19	0 0 4
49.4	23	2 1 3
51.2	26	3 0 2
53.2	37	2 0 5
56.2	34	2 2 0
60.8	17	2 0 6



Entry 4:
For BaYMn2O5, a GGA+U-relaxed structure gives the theoretical PXRD pattern in this record (Cu Ka).
Intensities are scaled so that the largest is 100.

a b c (Å): 5.614 5.614 15.654
angles (deg): 90.00 90.00 90.00
Space group I4/mmm (No. 139)
Inequivalent atoms, fractional coordinates:
Ba: 0.000 0.500 0.250 (multiplicity 4)
Y: 0.000 0.500 0.000 (multiplicity 4)
Mn: 0.000 0.000 0.112 (multiplicity 4)
Mn: 0.000 0.000 0.376 (multiplicity 4)
O: 0.000 0.000 0.246 (multiplicity 4)
O: 0.241 0.241 0.090 (multiplicity 16)

Main lines, in order of rising 2θ (10 to 80 degrees two-theta):
2theta	I_rel	h k l
22.4	10	1 1 0
31.9	41	2 0 0
32.1	100	1 1 4
39.5	16	2 0 4
45.7	31	2 2 0
46.4	9	0 0 8
57.0	37	3 1 4
57.4	22	2 0 8
66.6	9	4 0 0
67.2	12	2 2 8



Entry 5:
For Ba2YMn3O8, a GGA+U-relaxed structure gives the theoretical PXRD pattern in this record (Cu Ka).
Intensities are scaled so that the largest is 100.

a b c (Å): 5.610 5.610 23.665
angles (deg): 90.00 90.00 90.00
Space group I4mm (No. 107)
Inequivalent atoms, fractional coordinates:
Ba: 0.000 0.500 0.000 (multiplicity 4)
Ba: 0.000 0.500 0.168 (multiplicity 4)
Y: 0.000 0.500 0.334 (multiplicity 4)
Mn: 0.000 0.000 0.083 (multiplicity 2)
Mn: 0.000 0.000 0.252 (multiplicity 2)
Mn: 0.000 0.000 0.416 (multiplicity 2)
Mn: 0.000 0.000 0.585 (multiplicity 2)
Mn: 0.000 0.000 0.759 (multiplicity 2)
Mn: 0.000 0.000 0.910 (multiplicity 2)
O: 0.000 0.000 0.166 (multiplicity 2)
O: 0.000 0.000 0.501 (multiplicity 2)
O: 0.000 0.000 0.668 (multiplicity 2)
O: 0.000 0.000 0.999 (multiplicity 2)
O: 0.241 0.241 0.775 (multiplicity 8)
O: 0.241 0.241 0.894 (multiplicity 8)
O: 0.250 0.250 0.083 (multiplicity 8)

Main lines, in order of rising 2θ (10 to 80 degrees two-theta):
2theta	I_rel	h k l
22.4	8	1 1 0
32.0	100	1 1 6
39.4	14	2 0 6
45.7	22	2 2 0
46.0	8	0 0 12
56.9	26	3 1 6
57.1	15	2 0 12
66.7	6	4 0 0
66.9	10	2 2 12
75.9	11	3 3 6



Entry 6:
For Ba2YMn3O8, a GGA+U-relaxed structure gives the theoretical PXRD pattern in this record (Cu Ka).
Intensities are scaled so that the largest is 100.

a b c (Å): 3.977 3.977 11.852
angles (deg): 90.00 90.00 90.00
Space group P4/mmm (No. 123)
Inequivalent atoms, fractional coordinates:
Ba: 0.000 0.000 0.164 (multiplicity 2)
Y: 0.000 0.000 0.500 (multiplicity 1)
Mn: 0.500 0.500 0.000 (multiplicity 1)
Mn: 0.500 0.500 0.343 (multiplicity 2)
O: 0.000 0.500 0.000 (multiplicity 2)
O: 0.000 0.500 0.381 (multiplicity 4)
O: 0.500 0.500 0.172 (multiplicity 2)

Main lines, in order of rising 2θ (10 to 80 degrees two-theta):
2theta	I_rel	h k l
22.4	11	1 0 0
31.8	44	1 1 0
31.9	100	1 0 3
39.3	20	1 1 3
45.6	32	2 0 0
45.9	12	0 0 6
56.8	38	2 1 3
57.0	21	1 1 6
66.7	14	2 0 6
75.6	15	3 0 3



- Number 4 is which compound?
  BaYMn2O5



Repeat the second record exactly.
For BaYMn2O5, a GGA+U-relaxed structure gives the theoretical PXRD pattern in this record (Cu Ka).
Intensities are scaled so that the largest is 100.

a b c (Å): 5.616 5.616 7.801
angles (deg): 90.00 90.00 90.00
Space group P4/nmm (No. 129, origin choice 2)
Inequivalent atoms, fractional coordinates:
Ba: 0.250 0.750 0.000 (multiplicity 2)
Y: 0.250 0.750 0.500 (multiplicity 2)
Mn: 0.250 0.250 0.253 (multiplicity 2)
Mn: 0.250 0.250 0.723 (multiplicity 2)
O: 0.009 0.009 0.681 (multiplicity 8)
O: 0.250 0.250 0.992 (multiplicity 2)

Main lines, in order of rising 2θ (10 to 80 degrees two-theta):
2theta	I_rel	h k l
22.4	10	1 1 0
31.9	42	2 0 0
32.2	100	1 1 2
39.5	17	2 0 2
45.7	31	2 2 0
46.6	9	0 0 4
57.0	37	3 1 2
57.5	22	2 0 4
66.6	9	4 0 0
67.3	12	2 2 4